(1)
For Tm2Ga3Ni, DFT lattice parameters and positions (PBE) gives the calculated XRD peak list in this record (a wavelength of 1.5418 Å).
Neutral-atom scattering factors, no anomalous dispersion.

Crystal structure
```
data_Tm2Ga3Ni
_symmetry_space_group_name_H-M 'C 1 m 1'
_symmetry_Int_Tables_number 8
_symmetry_space_group_name_Hall 'C -2y'
_cell_length_a 10.1139
_cell_length_b 4.3227
_cell_length_c 6.9987
_cell_angle_alpha 90.00
_cell_angle_beta 132.52
_cell_angle_gamma 90.00
loop_
_atom_site_label
_atom_site_type_symbol
_atom_site_fract_x
_atom_site_fract_y
_atom_site_fract_z
Tm1 Tm 0.0000 0.0000 0.0000
Tm2 Tm 0.0907 0.0000 0.5928
Ga1 Ga 0.1917 0.5000 0.9822
Ga2 Ga 0.2187 0.5000 0.4150
Ga3 Ga 0.3802 0.0000 0.2004
Ni1 Ni 0.3759 0.0000 0.5772
```

The 8 most intense peaks (2θ = 10–80°), by angle:
(hkl)  2theta  d (Å)  Rel. int.
1 1 0  23.8  3.736  51
3 1 -1  34.5  2.603  38
0 0 2  34.8  2.579  30
1 1 -2  34.9  2.569  100
3 1 -2  35.3  2.541  75
4 0 -2  35.6  2.523  36
0 2 0  41.8  2.161  54
3 1 0  41.9  2.154  69

=====

(2)
For MgZnCo4S8, DFT lattice parameters and positions (PBE) gives the calculated XRD peak list in this record (a wavelength of 1.5418 Å).
Neutral-atom scattering factors, no anomalous dispersion.

Crystal structure
```
data_MgZnCo4S8
_symmetry_space_group_name_H-M 'R 3 m'
_symmetry_Int_Tables_number 160
_symmetry_space_group_name_Hall 'R 3 -2"'
_cell_length_a 6.8779
_cell_length_b 6.8779
_cell_length_c 16.8282
_cell_angle_alpha 90.00
_cell_angle_beta 90.00
_cell_angle_gamma 120.00
loop_
_atom_site_label
_atom_site_type_symbol
_atom_site_fract_x
_atom_site_fract_y
_atom_site_fract_z
Mg1 Mg 0.0000 0.0000 0.0000
Zn1 Zn 0.0000 0.0000 0.7508
Co1 Co 0.0000 0.0000 0.3750
Co2 Co 0.0012 0.5006 0.8755
S1 S 0.0000 0.0000 0.1437
S2 S 0.0000 0.0000 0.6092
S3 S 0.0433 0.5216 0.1308
S4 S 0.1913 0.3826 0.9526
```

The 8 most intense peaks (2θ = 10–80°), by angle:
(hkl)  2theta  d (Å)  Rel. int.
0 0 3  15.8  5.614  59
1 1 0  25.9  3.438  28
0 1 5  30.5  2.932  100
0 2 4  37.0  2.431  68
1 2 5  48.7  1.871  66
2 2 0  53.3  1.719  91
3 1 5  62.7  1.483  13
1 0 13  75.0  1.266  17

=====

(3)
For Mg5Bi, DFT lattice parameters and positions (PBE) gives the calculated XRD peak list in this record (a wavelength of 1.5418 Å).
Neutral-atom scattering factors, no anomalous dispersion.

Crystal structure
```
data_Mg5Bi
_symmetry_space_group_name_H-M 'A m m 2'
_symmetry_Int_Tables_number 38
_symmetry_space_group_name_Hall 'A 2 -2'
_cell_length_a 5.5355
_cell_length_b 3.2368
_cell_length_c 16.4859
_cell_angle_alpha 90.00
_cell_angle_beta 90.00
_cell_angle_gamma 90.00
loop_
_atom_site_label
_atom_site_type_symbol
_atom_site_fract_x
_atom_site_fract_y
_atom_site_fract_z
Mg1 Mg 0.0000 0.0000 0.0000
Mg2 Mg 0.0000 0.0000 0.3305
Mg3 Mg 0.0000 0.0000 0.6646
Mg4 Mg 0.5000 0.0000 0.2159
Mg5 Mg 0.5000 0.0000 0.5581
Bi1 Bi 0.5000 0.0000 0.8878
```

The 8 most intense peaks (2θ = 10–80°), by angle:
(hkl)  2theta  d (Å)  Rel. int.
0 0 2  10.7  8.243  100
1 0 0  16.0  5.535  45
1 0 2  19.3  4.595  58
1 0 4  27.0  3.306  29
2 0 0  32.3  2.768  30
0 0 6  32.5  2.753  48
1 1 3  36.1  2.491  73
1 0 6  36.5  2.461  35

=====

(4)
For Ba4P2O, DFT lattice parameters and positions (PBE) gives the calculated XRD peak list in this record (a wavelength of 1.5418 Å).
Neutral-atom scattering factors, no anomalous dispersion.

Crystal structure
```
data_Ba4P2O
_symmetry_space_group_name_H-M 'C m c e'
_symmetry_Int_Tables_number 64
_symmetry_space_group_name_Hall '-C 2ac 2'
_cell_length_a 7.2573
_cell_length_b 16.5863
_cell_length_c 7.6274
_cell_angle_alpha 90.00
_cell_angle_beta 90.00
_cell_angle_gamma 90.00
loop_
_atom_site_label
_atom_site_type_symbol
_atom_site_fract_x
_atom_site_fract_y
_atom_site_fract_z
Ba1 Ba 0.0000 0.1776 0.0698
Ba2 Ba 0.2500 0.0202 0.7500
P1 P 0.0000 0.1344 0.4754
O1 O 0.0000 0.0000 0.0000
```

The 8 most intense peaks (2θ = 10–80°), by angle:
(hkl)  2theta  d (Å)  Rel. int.
1 3 1  23.3  3.810  45
0 4 1  24.4  3.642  46
0 2 2  25.7  3.465  81
2 2 0  26.8  3.324  100
0 4 2  31.9  2.806  78
0 6 0  32.4  2.764  41
2 0 2  34.1  2.629  83
2 4 3  49.0  1.860  43

=====

(5)
For Hf2IrRh, DFT lattice parameters and positions (PBE) gives the calculated XRD peak list in this record (a wavelength of 1.5418 Å).
Neutral-atom scattering factors, no anomalous dispersion.

Crystal structure
```
data_Hf2IrRh
_symmetry_space_group_name_H-M 'F m -3 m'
_symmetry_Int_Tables_number 225
_symmetry_space_group_name_Hall '-F 4 2 3'
_cell_length_a 6.5490
_cell_length_b 6.5490
_cell_length_c 6.5490
_cell_angle_alpha 90.00
_cell_angle_beta 90.00
_cell_angle_gamma 90.00
loop_
_atom_site_label
_atom_site_type_symbol
_atom_site_fract_x
_atom_site_fract_y
_atom_site_fract_z
Hf1 Hf 0.2500 0.2500 0.2500
Ir1 Ir 0.0000 0.0000 0.0000
Rh1 Rh 0.0000 0.0000 0.5000
```

The 8 most intense peaks (2θ = 10–80°), by angle:
(hkl)  2theta  d (Å)  Rel. int.
1 1 1  23.5  3.781  4
2 0 0  27.2  3.274  1
2 2 0  38.9  2.315  100
3 1 1  46.0  1.975  2
4 0 0  56.2  1.637  17
3 3 1  61.7  1.502  1
4 2 2  70.4  1.337  35
5 1 1  75.4  1.260  1

=====

(6)
For K2CuCl4, DFT lattice parameters and positions (PBE) gives the calculated XRD peak list in this record (a wavelength of 1.5418 Å).
Neutral-atom scattering factors, no anomalous dispersion.

Crystal structure
```
data_K2CuCl4
_symmetry_space_group_name_H-M 'P n m a'
_symmetry_Int_Tables_number 62
_symmetry_space_group_name_Hall '-P 2ac 2n'
_cell_length_a 9.3465
_cell_length_b 7.0536
_cell_length_c 12.1718
_cell_angle_alpha 90.00
_cell_angle_beta 90.00
_cell_angle_gamma 90.00
loop_
_atom_site_label
_atom_site_type_symbol
_atom_site_fract_x
_atom_site_fract_y
_atom_site_fract_z
K1 K 0.0059 0.2500 0.1728
K2 K 0.1470 0.7500 0.4167
Cu1 Cu 0.2248 0.7500 0.0750
Cl1 Cl 0.0154 0.2500 0.9025
Cl2 Cl 0.1672 0.2500 0.4100
Cl3 Cl 0.1959 0.5186 0.6526
```

The 8 most intense peaks (2θ = 10–80°), by angle:
(hkl)  2theta  d (Å)  Rel. int.
1 0 2  17.4  5.106  90
0 2 0  25.3  3.522  100
0 0 4  29.3  3.046  61
3 0 1  29.6  3.018  39
3 0 2  32.3  2.774  48
2 2 1  32.6  2.743  27
2 2 2  35.1  2.557  38
0 2 6  52.0  1.757  33

=====

(7)
For SbO2, DFT lattice parameters and positions (PBE) gives the calculated XRD peak list in this record (a wavelength of 1.5418 Å).
Neutral-atom scattering factors, no anomalous dispersion.

Crystal structure
```
data_SbO2
_symmetry_space_group_name_H-M 'C 1 m 1'
_symmetry_Int_Tables_number 8
_symmetry_space_group_name_Hall 'C -2y'
_cell_length_a 11.5286
_cell_length_b 6.4180
_cell_length_c 20.9286
_cell_angle_alpha 90.00
_cell_angle_beta 94.10
_cell_angle_gamma 90.00
loop_
_atom_site_label
_atom_site_type_symbol
_atom_site_fract_x
_atom_site_fract_y
_atom_site_fract_z
Sb1 Sb 0.0000 0.0000 0.0000
Sb2 Sb 0.0097 0.2369 0.4110
Sb3 Sb 0.0539 0.2507 0.6504
Sb4 Sb 0.0889 0.2551 0.8847
Sb5 Sb 0.1712 0.5000 0.0465
Sb6 Sb 0.2197 0.0000 0.2695
Sb7 Sb 0.2302 0.5000 0.5348
Sb8 Sb 0.2759 0.0000 0.7799
Sb9 Sb 0.3344 0.0000 0.5255
Sb10 Sb 0.3768 0.5000 0.7622
Sb11 Sb 0.4517 0.2520 0.1498
Sb12 Sb 0.4933 0.0000 0.2824
O1 O 0.0213 0.5000 0.8364
O2 O 0.0260 0.0000 0.8269
O3 O 0.0632 0.5000 0.1958
O4 O 0.0733 0.2254 0.0576
O5 O 0.0888 0.2735 0.3281
O6 O 0.1014 0.5000 0.4548
O7 O 0.1133 0.0000 0.1954
O8 O 0.1149 0.0000 0.4448
O9 O 0.1299 0.5000 0.6945
O10 O 0.1437 0.0000 0.7010
O11 O 0.1505 0.0000 0.9414
O12 O 0.1605 0.5000 0.9438
O13 O 0.1715 0.2634 0.5849
O14 O 0.2258 0.2366 0.8340
O15 O 0.3550 0.5000 0.0438
O16 O 0.3721 0.2033 0.2439
O17 O 0.3760 0.0000 0.1088
O18 O 0.4042 0.2383 0.4812
O19 O 0.4145 0.5000 0.3749
O20 O 0.4181 0.0000 0.3697
O21 O 0.4322 0.2595 0.7129
O22 O 0.4560 0.2718 0.9368
O23 O 0.4655 0.0000 0.6021
O24 O 0.4787 0.5000 0.6063
```

The 8 most intense peaks (2θ = 10–80°), by angle:
(hkl)  2theta  d (Å)  Rel. int.
2 0 0  15.4  5.750  45
2 0 3  20.7  4.286  39
2 0 -4  22.2  4.009  29
2 0 4  23.8  3.734  56
2 0 -5  25.5  3.499  28
3 1 2  29.0  3.083  27
2 2 0  31.9  2.802  30
0 2 4  32.8  2.733  100